Computed X-ray powder pattern
Compound: TmMgZn5Pd2
Radiation: copper Kα
Structure: a structure optimized by DFT (PBE)
Kinematic intensities with the Lorentz-polarization factor, no thermal factor.

Top 8 peaks for 2θ = 10–80°, in order of rising 2θ:
2θ/deg, I/Imax
11.41, 27
22.31, 46
30.02, 35
35.82, 82
38.76, 100
44.60, 62
55.98, 33
74.25, 26

Unit cell a=4.646 b=4.646 c=7.754 alpha=90.00 beta=90.00 gamma=90.00
Fractional positions:
Tm (0.000, 0.000, 0.000)
Mg (0.000, 0.000, 0.500)
Zn (0.000, 0.500, 0.233)
Zn (0.000, 0.500, 0.767)
Zn (0.500, 0.000, 0.233)
Zn (0.500, 0.000, 0.767)
Zn (0.500, 0.500, 0.000)
Pd (0.500, 0.500, 0.334)
Pd (0.500, 0.500, 0.666)